(1)
# Li2BeGe
Theoretical powder diffraction line list, Cu Kα X-rays. Input: a cell relaxed with GGA-PBE.
No peak broadening, texture or thermal motion is included.

Main lines, in order of rising 2θ (2θ from 15° to 90°):
- hkl 2 0 -1, 2θ = 19.78°, rel. 24
- hkl 2 0 0, 2θ = 21.39°, rel. 50
- hkl 2 0 -2, 2θ = 26.09°, rel. 30
- hkl 1 1 -1, 2θ = 26.58°, rel. 100
- hkl 1 1 1, 2θ = 30.91°, rel. 38
- hkl 1 1 -3, 2θ = 43.98°, rel. 26

```
data_Li2BeGe
_symmetry_space_group_name_H-M 'C 1 m 1'
_symmetry_Int_Tables_number 8
_symmetry_space_group_name_Hall 'C -2y'
_cell_length_a 9.1800
_cell_length_b 3.8460
_cell_length_c 7.4189
_cell_angle_alpha 90.00
_cell_angle_beta 115.15
_cell_angle_gamma 90.00
loop_
_atom_site_label
_atom_site_type_symbol
_atom_site_fract_x
_atom_site_fract_y
_atom_site_fract_z
Li1 Li 0.0000 0.0000 0.0000
Li2 Li 0.0014 0.0000 0.4966
Li3 Li 0.1285 0.5000 0.3378
Li4 Li 0.3759 0.0000 0.6584
Be1 Be 0.2436 0.5000 0.0654
Be2 Be 0.2542 0.0000 0.9254
Ge1 Ge 0.2032 0.5000 0.7354
Ge2 Ge 0.2992 0.0000 0.2570
```

---

(2)
# Li2Be2Ni5Ge
Theoretical powder diffraction line list, Cu Kα X-rays. Input: a cell relaxed with GGA-PBE.
No peak broadening, texture or thermal motion is included.

Main lines, in order of rising 2θ (2θ from 15° to 90°):
- hkl 2 0 0, 2θ = 20.97°, rel. 41
- hkl 0 0 1, 2θ = 28.57°, rel. 45
- hkl 4 1 0, 2θ = 44.06°, rel. 33
- hkl 3 1 1, 2θ = 44.55°, rel. 100
- hkl 4 2 0, 2θ = 48.02°, rel. 34
- hkl 3 2 1, 2θ = 48.47°, rel. 31

```
data_Li2Be2Ni5Ge
_symmetry_space_group_name_H-M 'P 4/m b m'
_symmetry_Int_Tables_number 127
_symmetry_space_group_name_Hall '-P 4 2ab'
_cell_length_a 8.4737
_cell_length_b 8.4737
_cell_length_c 3.1244
_cell_angle_alpha 90.00
_cell_angle_beta 90.00
_cell_angle_gamma 90.00
loop_
_atom_site_label
_atom_site_type_symbol
_atom_site_fract_x
_atom_site_fract_y
_atom_site_fract_z
Li1 Li 0.1743 0.3257 0.0000
Be1 Be 0.1224 0.6224 0.0000
Ni1 Ni 0.0000 0.5000 0.5000
Ni2 Ni 0.0693 0.7902 0.5000
Ge1 Ge 0.0000 0.0000 0.0000
```

---

(3)
# LiBeGeO4
Theoretical powder diffraction line list, Cu Kα X-rays. Input: a cell relaxed with GGA-PBE.
No peak broadening, texture or thermal motion is included.

Main lines, in order of rising 2θ (2θ from 15° to 90°):
- hkl 1 0 1, 2θ = 22.64°, rel. 100
- hkl 1 1 0, 2θ = 27.85°, rel. 17
- hkl 1 1 2, 2θ = 36.17°, rel. 40
- hkl 1 2 1, 2θ = 46.28°, rel. 18
- hkl 2 2 0, 2θ = 57.51°, rel. 19
- hkl 2 0 4, 2θ = 62.55°, rel. 15

```
data_LiBeGeO4
_symmetry_space_group_name_H-M 'I -4'
_symmetry_Int_Tables_number 82
_symmetry_space_group_name_Hall 'I -4'
_cell_length_a 4.5302
_cell_length_b 4.5302
_cell_length_c 7.8637
_cell_angle_alpha 90.00
_cell_angle_beta 90.00
_cell_angle_gamma 90.00
loop_
_atom_site_label
_atom_site_type_symbol
_atom_site_fract_x
_atom_site_fract_y
_atom_site_fract_z
Li1 Li 0.0000 0.0000 0.0000
Be1 Be 0.0000 0.5000 0.7500
Ge1 Ge 0.0000 0.0000 0.5000
O1 O 0.1745 0.2817 0.6210
```

---

(4)
# Li2Be2GeO6
Theoretical powder diffraction line list, Cu Kα X-rays. Input: a cell relaxed with GGA-PBE.
No peak broadening, texture or thermal motion is included.

Main lines, in order of rising 2θ (2θ from 15° to 90°):
- hkl 0 0 1, 2θ = 18.60°, rel. 100
- hkl 1 0 0, 2θ = 21.59°, rel. 55
- hkl 1 0 1, 2θ = 28.65°, rel. 88
- hkl 2 -1 1, 2θ = 42.50°, rel. 56
- hkl 1 0 2, 2θ = 43.87°, rel. 24
- hkl 2 -1 2, 2θ = 54.51°, rel. 51

```
data_Li2Be2GeO6
_symmetry_space_group_name_H-M 'P -3 1 m'
_symmetry_Int_Tables_number 162
_symmetry_space_group_name_Hall '-P 3 2'
_cell_length_a 4.7525
_cell_length_b 4.7525
_cell_length_c 4.7702
_cell_angle_alpha 90.00
_cell_angle_beta 90.00
_cell_angle_gamma 120.00
loop_
_atom_site_label
_atom_site_type_symbol
_atom_site_fract_x
_atom_site_fract_y
_atom_site_fract_z
Li1 Li 0.3333 0.6667 0.0000
Be1 Be 0.3333 0.6667 0.5000
Ge1 Ge 0.0000 0.0000 0.5000
O1 O 0.0000 0.3472 0.7033
```

---

(5)
# LiPr2Be3Ge4
Theoretical powder diffraction line list, Cu Kα X-rays. Input: a cell relaxed with GGA-PBE.
No peak broadening, texture or thermal motion is included.

Main lines, in order of rising 2θ (2θ from 15° to 90°):
- hkl 1 0 1, 2θ = 23.10°, rel. 34
- hkl 1 1 1, 2θ = 31.58°, rel. 30
- hkl 1 0 3, 2θ = 34.77°, rel. 65
- hkl 1 1 2, 2θ = 35.41°, rel. 100
- hkl 2 0 0, 2θ = 43.25°, rel. 48
- hkl 2 1 3, 2θ = 56.65°, rel. 32

```
data_LiPr2Be3Ge4
_symmetry_space_group_name_H-M 'P -4 m 2'
_symmetry_Int_Tables_number 115
_symmetry_space_group_name_Hall 'P -4 -2'
_cell_length_a 4.1836
_cell_length_b 4.1836
_cell_length_c 9.8312
_cell_angle_alpha 90.00
_cell_angle_beta 90.00
_cell_angle_gamma 90.00
loop_
_atom_site_label
_atom_site_type_symbol
_atom_site_fract_x
_atom_site_fract_y
_atom_site_fract_z
Li1 Li 0.0000 0.0000 0.0000
Pr1 Pr 0.0000 0.5000 0.7466
Be1 Be 0.0000 0.5000 0.3736
Be2 Be 0.5000 0.5000 0.0000
Ge1 Ge 0.0000 0.0000 0.5000
Ge2 Ge 0.0000 0.5000 0.1379
Ge3 Ge 0.5000 0.5000 0.5000
```